1.
# DyTm2Hg5
Theoretical PXRD pattern, Cu Kα X-rays. Input: DFT lattice parameters and positions (PBE).

a = 5.168 Å, b = 5.168 Å, c = 14.506 Å
α = 90.00°, β = 90.00°, γ = 90.00°
Space group I4/mmm (No. 139)
Inequivalent atoms, fractional coordinates:
Dy 0.000 0.000 0.000 x2
Tm 0.000 0.000 0.263 x4
Hg 0.000 0.000 0.500 x2
Hg 0.000 0.500 0.127 x8

Top 8 peaks for 10 to 90 degrees two-theta, in order of rising 2θ:
2theta, d [Å], I/Imax, (hkl)
34.72, 2.584, 51.9, 2 0 0
34.86, 2.574, 100.0, 1 1 4
49.92, 1.827, 18.8, 2 2 0
50.32, 1.813, 8.3, 0 0 8
62.32, 1.490, 38.0, 3 1 4
62.59, 1.484, 17.4, 2 0 8
73.60, 1.287, 10.9, 2 2 8
83.74, 1.155, 17.4, 4 2 0

***

2.
# Dy3Tm2Hg3
Theoretical PXRD pattern, Cu Kα X-rays. Input: DFT lattice parameters and positions (PBE).

a = 3.711 Å, b = 5.286 Å, c = 21.930 Å
α = 90.00°, β = 90.00°, γ = 90.00°
Space group Immm (No. 71)
Inequivalent atoms, fractional coordinates:
Dy 0.000 0.000 0.000 x2
Dy 0.000 0.500 0.122 x4
Tm 0.000 0.000 0.233 x4
Hg 0.000 0.000 0.500 x2
Hg 0.000 0.500 0.380 x4

Top 8 peaks for 10 to 90 degrees two-theta, in order of rising 2θ:
2theta, d [Å], I/Imax, (hkl)
32.67, 2.741, 23.4, 0 0 8
33.74, 2.657, 100.0, 1 1 4
33.92, 2.643, 25.9, 0 2 0
47.80, 1.903, 16.4, 0 2 8
58.99, 1.566, 13.8, 1 1 12
60.58, 1.529, 19.5, 1 3 4
61.02, 1.518, 9.7, 2 2 0
70.96, 1.328, 11.2, 2 2 8